(1)
Simulated PXRD pattern
Compound: HoSc2Tc
Radiation: CuKα
Structure: a structure optimized by DFT (PBE)
Kinematic intensities with the Lorentz-polarization factor, no thermal factor.

Peak list (6 most intense, 2θ = 5–70°, most intense first)
| two_theta | intensity |
| --- | --- |
| 34.71 | 100.0 |
| 20.99 | 65.2 |
| 32.20 | 41.4 |
| 30.56 | 33.4 |
| 37.44 | 32.9 |
| 35.77 | 29.7 |

Cell and atoms:
a = 7.376 Å, b = 8.463 Å, c = 5.839 Å
α = 90.00°, β = 90.00°, γ = 90.00°
Space group Pnma (No. 62)
Unique sites:
1 Ho 0.036 0.250 0.118
2 Sc 0.173 0.063 0.639
3 Tc 0.117 0.750 0.427

=====

(2)
Simulated PXRD pattern
Compound: Zn2InO4
Radiation: CuKα
Structure: a structure optimized by DFT (PBE)
Kinematic intensities with the Lorentz-polarization factor, no thermal factor.

Peak list (6 most intense, 2θ = 5–70°, most intense first)
| two_theta | intensity |
| --- | --- |
| 34.13 | 100.0 |
| 28.99 | 47.0 |
| 60.08 | 38.4 |
| 54.75 | 37.2 |
| 51.38 | 17.6 |
| 35.70 | 8.0 |

Cell and atoms:
a = 8.712 Å, b = 8.712 Å, c = 8.712 Å
α = 90.00°, β = 90.00°, γ = 90.00°
Space group Fd-3m (No. 227, origin choice 2)
Unique sites:
1 Zn 0.000 0.000 0.000
2 In 0.125 0.125 0.625
3 O 0.012 0.012 0.238

=====

(3)
Simulated PXRD pattern
Compound: Li4OsAuO6
Radiation: CuKα
Structure: a structure optimized by DFT (PBE)
Kinematic intensities with the Lorentz-polarization factor, no thermal factor.

Peak list (6 most intense, 2θ = 5–70°, most intense first)
| two_theta | intensity |
| --- | --- |
| 18.60 | 100.0 |
| 43.73 | 39.3 |
| 35.26 | 38.7 |
| 20.32 | 36.5 |
| 21.99 | 31.2 |
| 32.57 | 27.2 |

Cell and atoms:
a = 5.536 Å, b = 8.858 Å, c = 5.259 Å
α = 90.00°, β = 114.87°, γ = 90.00°
Space group C2 (No. 5)
Unique sites:
1 Li 0.000 0.000 0.000
2 Li 0.000 0.153 0.500
3 Li 0.000 0.504 0.500
4 Li 0.000 0.827 0.500
5 Os 0.000 0.318 0.000
6 Au 0.000 0.662 0.000
7 O 0.207 0.172 0.275
8 O 0.231 0.486 0.247
9 O 0.234 0.331 0.792

=====

Copy entry 3 word for word.
Simulated PXRD pattern
Compound: Li4OsAuO6
Radiation: CuKα
Structure: a structure optimized by DFT (PBE)
Kinematic intensities with the Lorentz-polarization factor, no thermal factor.

Peak list (6 most intense, 2θ = 5–70°, most intense first)
| two_theta | intensity |
| --- | --- |
| 18.60 | 100.0 |
| 43.73 | 39.3 |
| 35.26 | 38.7 |
| 20.32 | 36.5 |
| 21.99 | 31.2 |
| 32.57 | 27.2 |

Cell and atoms:
a = 5.536 Å, b = 8.858 Å, c = 5.259 Å
α = 90.00°, β = 114.87°, γ = 90.00°
Space group C2 (No. 5)
Unique sites:
1 Li 0.000 0.000 0.000
2 Li 0.000 0.153 0.500
3 Li 0.000 0.504 0.500
4 Li 0.000 0.827 0.500
5 Os 0.000 0.318 0.000
6 Au 0.000 0.662 0.000
7 O 0.207 0.172 0.275
8 O 0.231 0.486 0.247
9 O 0.234 0.331 0.792